This entry pairs a crystal structure of YGa2Ni with its calculated X-ray diffraction stick pattern. Radiation: Cu Kα (weighted mean of Kα1 and Kα2). Structure: the GGA-PBE geometry in Alexandria.
Neutral-atom scattering factors, no anomalous dispersion.

Structure:
abc: 5.5897 5.5897 5.5897
angles: 42.92 42.92 42.92
Element x y z (fractional)
Y1 0.0000 0.0000 0.0000
Ga1 0.2125 0.2125 0.2125
Ga2 0.7875 0.7875 0.7875
Ni1 0.5000 0.5000 0.5000

The 6 most intense peaks (2θ = 10–90°), in order of falling intensity:
2θ = 34.62°, rel. 1000
2θ = 44.29°, rel. 772
2θ = 39.05°, rel. 316
2θ = 57.40°, rel. 221
2θ = 75.26°, rel. 191
2θ = 67.00°, rel. 156

=====

This entry pairs a crystal structure of Dy6Ho5Mg with its calculated X-ray diffraction stick pattern. Radiation: Cu Kα (weighted mean of Kα1 and Kα2). Structure: the GGA-PBE geometry in Alexandria.
Neutral-atom scattering factors, no anomalous dispersion.

Structure:
abc: 9.2856 9.2856 9.2856
angles: 148.93 115.56 73.26
Element x y z (fractional)
Dy1 0.0806 0.8326 0.2480
Dy2 0.2499 0.5000 0.7499
Dy3 0.4154 0.1674 0.2480
Dy4 0.5846 0.8326 0.7520
Dy5 0.7501 0.5000 0.2501
Dy6 0.9194 0.1674 0.7520
Ho1 0.1675 0.6675 0.5000
Ho2 0.3345 0.3345 0.0000
Ho3 0.5000 0.0000 0.5000
Ho4 0.6655 0.6655 0.0000
Ho5 0.8325 0.3325 0.5000
Mg1 0.0000 0.0000 0.0000

The 6 most intense peaks (2θ = 10–90°), in order of falling intensity:
2θ = 31.21°, rel. 1000
2θ = 36.14°, rel. 338
2θ = 61.93°, rel. 285
2θ = 52.08°, rel. 239
2θ = 36.29°, rel. 167
2θ = 62.14°, rel. 140

=====

This entry pairs a crystal structure of ZrU9O20 with its calculated X-ray diffraction stick pattern. Radiation: Cu Kα (weighted mean of Kα1 and Kα2). Structure: the GGA-PBE geometry in Alexandria.
Neutral-atom scattering factors, no anomalous dispersion.

Structure:
abc: 6.6095 7.6321 8.5323
angles: 102.92 97.42 106.78
Element x y z (fractional)
Zr1 0.0000 0.0000 0.0000
U1 0.0000 0.5000 0.0000
U2 0.1990 0.3985 0.3982
U3 0.1988 0.9000 0.3980
U4 0.3984 0.2988 0.8007
U5 0.4004 0.8013 0.8010
U6 0.5996 0.1987 0.1990
U7 0.6016 0.7012 0.1993
U8 0.8012 0.1000 0.6020
U9 0.8010 0.6015 0.6018
O1 0.0502 0.2198 0.8541
O2 0.0497 0.7321 0.8543
O3 0.1497 0.6752 0.5498
O4 0.1510 0.1749 0.5499
O5 0.2430 0.1212 0.2428
O6 0.2472 0.6244 0.2487
O7 0.3419 0.0725 0.9517
O8 0.3492 0.5754 0.9494
O9 0.4502 0.5257 0.6503
O10 0.4514 0.0250 0.6509
O11 0.5486 0.9750 0.3491
O12 0.5498 0.4743 0.3497
O13 0.6508 0.4246 0.0506
O14 0.6580 0.9275 0.0483
O15 0.7528 0.3756 0.7513
O16 0.7570 0.8788 0.7572
O17 0.8490 0.8251 0.4501
O18 0.8503 0.3248 0.4502
O19 0.9503 0.2679 0.1457
O20 0.9498 0.7802 0.1459

The 6 most intense peaks (2θ = 10–90°), in order of falling intensity:
2θ = 28.65°, rel. 1000
2θ = 47.66°, rel. 495
2θ = 56.56°, rel. 468
2θ = 33.20°, rel. 364
2θ = 77.02°, rel. 199
2θ = 88.83°, rel. 177

=====

This entry pairs a crystal structure of Ho3Bi2H2 with its calculated X-ray diffraction stick pattern. Radiation: Cu Kα (weighted mean of Kα1 and Kα2). Structure: the GGA-PBE geometry in Alexandria.
Neutral-atom scattering factors, no anomalous dispersion.

Structure:
abc: 4.1737 6.3327 6.4874
angles: 72.70 71.27 70.85
Element x y z (fractional)
Ho1 0.0000 0.0000 0.0000
Ho2 0.1849 0.3842 0.2456
Ho3 0.8151 0.6158 0.7544
Bi1 0.4211 0.7968 0.3595
Bi2 0.5789 0.2032 0.6405
H1 0.2105 0.6504 0.9278
H2 0.7895 0.3496 0.0722

The 6 most intense peaks (2θ = 10–90°), in order of falling intensity:
2θ = 30.72°, rel. 1000
2θ = 33.46°, rel. 871
2θ = 31.04°, rel. 530
2θ = 36.48°, rel. 272
2θ = 43.36°, rel. 226
2θ = 53.22°, rel. 183

=====

This entry pairs a crystal structure of NiSe5 with its calculated X-ray diffraction stick pattern. Radiation: Cu Kα (weighted mean of Kα1 and Kα2). Structure: the GGA-PBE geometry in Alexandria.
Neutral-atom scattering factors, no anomalous dispersion.

Structure:
abc: 7.3102 7.3102 5.4091
angles: 90.00 90.00 151.24
Element x y z (fractional)
Ni1 0.0000 0.0000 0.0000
Se1 0.0000 0.0000 0.5000
Se2 0.3658 0.6342 0.5000
Se3 0.3879 0.6121 0.0000
Se4 0.6121 0.3879 0.0000
Se5 0.6342 0.3658 0.5000

The 6 most intense peaks (2θ = 10–90°), in order of falling intensity:
2θ = 31.08°, rel. 1000
2θ = 12.50°, rel. 808
2θ = 33.12°, rel. 707
2θ = 46.05°, rel. 655
2θ = 40.39°, rel. 512
2θ = 53.19°, rel. 450

=====

This entry pairs a crystal structure of Rb2PmAs2O6 with its calculated X-ray diffraction stick pattern. Radiation: Cu Kα (weighted mean of Kα1 and Kα2). Structure: the GGA-PBE geometry in Alexandria.
Neutral-atom scattering factors, no anomalous dispersion.

Structure:
abc: 6.0205 6.0205 7.5123
angles: 112.43 112.43 61.17
Element x y z (fractional)
Rb1 0.2158 0.2158 0.1901
Rb2 0.7842 0.7842 0.8099
Pm1 0.0000 0.0000 0.5000
As1 0.4332 0.4332 0.7820
As2 0.5668 0.5668 0.2180
O1 0.2496 0.2496 0.6088
O2 0.2539 0.7146 0.2655
O3 0.2854 0.7461 0.7345
O4 0.7146 0.2539 0.2655
O5 0.7461 0.2854 0.7345
O6 0.7504 0.7504 0.3912

The 6 most intense peaks (2θ = 10–90°), in order of falling intensity:
2θ = 29.69°, rel. 1000
2θ = 27.94°, rel. 880
2θ = 29.15°, rel. 524
2θ = 24.28°, rel. 467
2θ = 50.35°, rel. 417
2θ = 38.70°, rel. 382

=====

This entry pairs a crystal structure of MnFe3 with its calculated X-ray diffraction stick pattern. Radiation: Cu Kα (weighted mean of Kα1 and Kα2). Structure: the GGA-PBE geometry in Alexandria.
Neutral-atom scattering factors, no anomalous dispersion.

Structure:
abc: 2.4432 2.4432 8.0306
angles: 90.00 90.00 109.83
Element x y z (fractional)
Mn1 0.0000 0.0000 0.0000
Fe1 0.0000 0.0000 0.5000
Fe2 0.5000 0.5000 0.2483
Fe3 0.5000 0.5000 0.7517

The 6 most intense peaks (2θ = 10–90°), in order of falling intensity:
2θ = 45.47°, rel. 1000
2θ = 45.16°, rel. 255
2θ = 45.36°, rel. 252
2θ = 65.94°, rel. 148
2θ = 83.60°, rel. 144
2θ = 83.89°, rel. 143

=====

This entry pairs a crystal structure of UNi2AsP with its calculated X-ray diffraction stick pattern. Radiation: Cu Kα (weighted mean of Kα1 and Kα2). Structure: the GGA-PBE geometry in Alexandria.
Neutral-atom scattering factors, no anomalous dispersion.

Structure:
abc: 3.5845 3.5845 7.0593
angles: 90.00 90.00 90.00
Element x y z (fractional)
U1 0.0000 0.0000 0.0000
Ni1 0.0000 0.5000 0.3642
Ni2 0.5000 0.0000 0.3642
As1 0.0000 0.0000 0.5858
P1 0.5000 0.5000 0.1597

The 6 most intense peaks (2θ = 10–90°), in order of falling intensity:
2θ = 24.84°, rel. 1000
2θ = 35.70°, rel. 839
2θ = 37.71°, rel. 757
2θ = 43.98°, rel. 734
2θ = 12.54°, rel. 502
2θ = 27.92°, rel. 500

=====

This entry pairs a crystal structure of La2TbPm6 with its calculated X-ray diffraction stick pattern. Radiation: Cu Kα (weighted mean of Kα1 and Kα2). Structure: the GGA-PBE geometry in Alexandria.
Neutral-atom scattering factors, no anomalous dispersion.

Structure:
abc: 3.6599 3.6599 27.2551
angles: 90.00 90.00 120.00
Element x y z (fractional)
La1 0.0000 0.0000 0.1706
La2 0.0000 0.0000 0.8294
Tb1 0.6667 0.3333 0.5000
Pm1 0.0000 0.0000 0.3934
Pm2 0.0000 0.0000 0.6066
Pm3 0.6667 0.3333 0.0620
Pm4 0.6667 0.3333 0.2855
Pm5 0.6667 0.3333 0.7145
Pm6 0.6667 0.3333 0.9380

The 6 most intense peaks (2θ = 10–90°), in order of falling intensity:
2θ = 32.68°, rel. 1000
2θ = 31.12°, rel. 611
2θ = 29.50°, rel. 469
2θ = 28.15°, rel. 462
2θ = 58.97°, rel. 396
2θ = 49.83°, rel. 363

=====

This entry pairs a crystal structure of Mg3Pt4 with its calculated X-ray diffraction stick pattern. Radiation: Cu Kα (weighted mean of Kα1 and Kα2). Structure: the GGA-PBE geometry in Alexandria.
Neutral-atom scattering factors, no anomalous dispersion.

Structure:
abc: 7.0668 7.0668 7.0668
angles: 113.56 113.56 113.56
Element x y z (fractional)
Mg1 0.0585 0.6377 0.7777
Mg2 0.2223 0.9415 0.3623
Mg3 0.3623 0.2223 0.9415
Mg4 0.6377 0.7777 0.0585
Mg5 0.7777 0.0585 0.6377
Mg6 0.9415 0.3623 0.2223
Pt1 0.0000 0.0000 0.0000
Pt2 0.1350 0.2810 0.5709
Pt3 0.2810 0.5709 0.1350
Pt4 0.4291 0.8650 0.7190
Pt5 0.5000 0.5000 0.5000
Pt6 0.5709 0.1350 0.2810
Pt7 0.7190 0.4291 0.8650
Pt8 0.8650 0.7190 0.4291

The 6 most intense peaks (2θ = 10–90°), in order of falling intensity:
2θ = 40.34°, rel. 1000
2θ = 28.22°, rel. 457
2θ = 73.33°, rel. 257
2θ = 58.37°, rel. 171
2θ = 66.08°, rel. 171
2θ = 49.96°, rel. 126

=====

This entry pairs a crystal structure of Na5In4Hg4 with its calculated X-ray diffraction stick pattern. Radiation: Cu Kα (weighted mean of Kα1 and Kα2). Structure: the GGA-PBE geometry in Alexandria.
Neutral-atom scattering factors, no anomalous dispersion.

Structure:
abc: 9.0162 9.0162 9.0162
angles: 94.11 94.11 148.95
Element x y z (fractional)
Na1 0.0000 0.0000 0.0000
Na2 0.2959 0.3677 0.6636
Na3 0.3677 0.7041 0.0719
Na4 0.6323 0.2959 0.9281
Na5 0.7041 0.6323 0.3364
In1 0.1095 0.5730 0.6825
In2 0.4270 0.1095 0.5365
In3 0.5730 0.8905 0.4635
In4 0.8905 0.4270 0.3175
Hg1 0.0629 0.2380 0.3009
Hg2 0.2380 0.9371 0.1751
Hg3 0.7620 0.0629 0.8249
Hg4 0.9371 0.7620 0.6991

The 6 most intense peaks (2θ = 10–90°), in order of falling intensity:
2θ = 32.16°, rel. 1000
2θ = 22.89°, rel. 460
2θ = 37.29°, rel. 441
2θ = 35.40°, rel. 406
2θ = 44.21°, rel. 307
2θ = 19.76°, rel. 284

=====

This entry pairs a crystal structure of Ba3La2Br12 with its calculated X-ray diffraction stick pattern. Radiation: Cu Kα (weighted mean of Kα1 and Kα2). Structure: the GGA-PBE geometry in Alexandria.
Neutral-atom scattering factors, no anomalous dispersion.

Structure:
abc: 12.3595 12.3595 7.5724
angles: 90.00 90.00 90.00
Element x y z (fractional)
Ba1 0.0000 0.0000 0.0000
Ba2 0.1834 0.3166 0.5000
Ba3 0.3166 0.8166 0.5000
Ba4 0.5000 0.5000 0.0000
Ba5 0.6834 0.1834 0.5000
Ba6 0.8166 0.6834 0.5000
La1 0.1362 0.6362 0.0000
La2 0.3638 0.1362 0.0000
La3 0.6362 0.8638 0.0000
La4 0.8638 0.3638 0.0000
Br1 0.0000 0.5000 0.2579
Br2 0.0000 0.5000 0.7421
Br3 0.0622 0.7936 0.2710
Br4 0.0622 0.7936 0.7290
Br5 0.1876 0.3124 0.0000
Br6 0.2064 0.0622 0.2710
Br7 0.2064 0.0622 0.7290
Br8 0.2936 0.5622 0.2710
Br9 0.2936 0.5622 0.7290
Br10 0.3124 0.8124 0.0000
Br11 0.4378 0.2936 0.2710
Br12 0.4378 0.2936 0.7290
Br13 0.5000 0.0000 0.2579
Br14 0.5000 0.0000 0.7421
Br15 0.5622 0.7064 0.2710
Br16 0.5622 0.7064 0.7290
Br17 0.6876 0.1876 0.0000
Br18 0.7064 0.4378 0.2710
Br19 0.7064 0.4378 0.7290
Br20 0.7936 0.9378 0.2710
Br21 0.7936 0.9378 0.7290
Br22 0.8124 0.6876 0.0000
Br23 0.9378 0.2064 0.2710
Br24 0.9378 0.2064 0.7290

The 6 most intense peaks (2θ = 10–90°), in order of falling intensity:
2θ = 32.94°, rel. 1000
2θ = 29.81°, rel. 611
2θ = 35.32°, rel. 412
2θ = 19.89°, rel. 365
2θ = 31.26°, rel. 305
2θ = 30.69°, rel. 304